Entry 1:
Diffraction record for Sr5Fe2N4. The powder X-ray diffraction pattern is computed, not measured: it uses the GGA-PBE geometry in the Materials Project and Cu Ka.
No peak broadening, texture or thermal motion is included.

Atomic structure:
```
data_Sr5Fe2N4
_chemical_formula_sum 'Sr20 Fe8 N16'
_symmetry_space_group_name_H-M 'P 1'
_symmetry_Int_Tables_number 1
_symmetry_space_group_name_Hall 'P 1'
_cell_length_a 8.731
_cell_length_b 8.731
_cell_length_c 12.419
_cell_angle_alpha 90.00
_cell_angle_beta 90.00
_cell_angle_gamma 90.00
loop_
_atom_site_label
_atom_site_type_symbol
_atom_site_fract_x
_atom_site_fract_y
_atom_site_fract_z
Sr1 Sr 0.069 0.637 0.102
Sr2 Sr 0.069 0.863 0.602
Sr3 Sr 0.137 0.569 0.398
Sr4 Sr 0.137 0.931 0.898
Sr5 Sr 0.250 0.250 0.162
Sr6 Sr 0.250 0.250 0.662
Sr7 Sr 0.363 0.569 0.898
Sr8 Sr 0.363 0.931 0.398
Sr9 Sr 0.431 0.637 0.602
Sr10 Sr 0.431 0.863 0.102
Sr11 Sr 0.569 0.137 0.898
Sr12 Sr 0.569 0.363 0.398
Sr13 Sr 0.637 0.069 0.602
Sr14 Sr 0.637 0.431 0.102
Sr15 Sr 0.750 0.750 0.338
Sr16 Sr 0.750 0.750 0.838
Sr17 Sr 0.863 0.069 0.102
Sr18 Sr 0.863 0.431 0.602
Sr19 Sr 0.931 0.137 0.398
Sr20 Sr 0.931 0.363 0.898
Fe1 Fe 0.092 0.592 0.750
Fe2 Fe 0.092 0.908 0.250
Fe3 Fe 0.408 0.592 0.250
Fe4 Fe 0.408 0.908 0.750
Fe5 Fe 0.592 0.092 0.250
Fe6 Fe 0.592 0.408 0.750
Fe7 Fe 0.908 0.092 0.750
Fe8 Fe 0.908 0.408 0.250
N1 N 0.058 0.642 0.884
N2 N 0.058 0.858 0.384
N3 N 0.142 0.558 0.616
N4 N 0.142 0.942 0.116
N5 N 0.358 0.558 0.116
N6 N 0.358 0.942 0.616
N7 N 0.442 0.642 0.384
N8 N 0.442 0.858 0.884
N9 N 0.558 0.142 0.116
N10 N 0.558 0.358 0.616
N11 N 0.642 0.058 0.384
N12 N 0.642 0.442 0.884
N13 N 0.858 0.058 0.884
N14 N 0.858 0.442 0.384
N15 N 0.942 0.142 0.616
N16 N 0.942 0.358 0.116
```

Most intense lines, 2θ from 5° to 70°, by intensity:
two_theta	I/Imax
31.50	100
32.43	67
26.97	40
33.24	25
54.59	23
28.75	15



Entry 2:
Diffraction record for GaHgO2. The powder X-ray diffraction pattern is computed, not measured: it uses the GGA-PBE geometry in the Materials Project and Cu Ka.
No peak broadening, texture or thermal motion is included.

Atomic structure:
```
data_GaHgO2
_chemical_formula_sum 'Ga1 Hg1 O2'
_symmetry_space_group_name_H-M 'P 1'
_symmetry_Int_Tables_number 1
_symmetry_space_group_name_Hall 'P 1'
_cell_length_a 7.048
_cell_length_b 7.048
_cell_length_c 7.048
_cell_angle_alpha 24.96
_cell_angle_beta 24.96
_cell_angle_gamma 24.96
loop_
_atom_site_label
_atom_site_type_symbol
_atom_site_fract_x
_atom_site_fract_y
_atom_site_fract_z
Ga1 Ga 0.000 0.000 0.000
Hg1 Hg 0.500 0.500 0.500
O1 O 0.383 0.383 0.383
O2 O 0.617 0.617 0.617
```

Most intense lines, 2θ from 5° to 70°, by intensity:
two_theta	I/Imax
35.13	100
26.11	64
38.39	60
12.97	45
49.63	45
34.28	32



Entry 3:
Diffraction record for SrIn5Au3. The powder X-ray diffraction pattern is computed, not measured: it uses the GGA-PBE geometry in the Materials Project and Cu Ka.
No peak broadening, texture or thermal motion is included.

Atomic structure:
```
data_SrIn5Au3
_chemical_formula_sum 'Sr4 In20 Au12'
_symmetry_space_group_name_H-M 'P 1'
_symmetry_Int_Tables_number 1
_symmetry_space_group_name_Hall 'P 1'
_cell_length_a 15.359
_cell_length_b 4.526
_cell_length_c 12.823
_cell_angle_alpha 90.00
_cell_angle_beta 90.00
_cell_angle_gamma 90.00
loop_
_atom_site_label
_atom_site_type_symbol
_atom_site_fract_x
_atom_site_fract_y
_atom_site_fract_z
Sr1 Sr 0.204 0.250 0.104
Sr2 Sr 0.296 0.750 0.604
Sr3 Sr 0.704 0.250 0.396
Sr4 Sr 0.796 0.750 0.896
In1 In 0.006 0.750 0.088
In2 In 0.026 0.750 0.726
In3 In 0.069 0.750 0.485
In4 In 0.189 0.250 0.395
In5 In 0.195 0.250 0.801
In6 In 0.305 0.750 0.301
In7 In 0.311 0.750 0.895
In8 In 0.431 0.250 0.985
In9 In 0.474 0.250 0.226
In10 In 0.494 0.250 0.588
In11 In 0.506 0.750 0.412
In12 In 0.526 0.750 0.774
In13 In 0.569 0.750 0.015
In14 In 0.689 0.250 0.105
In15 In 0.695 0.250 0.699
In16 In 0.805 0.750 0.199
In17 In 0.811 0.750 0.605
In18 In 0.931 0.250 0.515
In19 In 0.974 0.250 0.274
In20 In 0.994 0.250 0.912
Au1 Au 0.111 0.750 0.268
Au2 Au 0.118 0.250 0.608
Au3 Au 0.125 0.750 0.921
Au4 Au 0.375 0.250 0.421
Au5 Au 0.382 0.750 0.108
Au6 Au 0.389 0.250 0.768
Au7 Au 0.611 0.750 0.232
Au8 Au 0.618 0.250 0.892
Au9 Au 0.625 0.750 0.579
Au10 Au 0.875 0.250 0.079
Au11 Au 0.882 0.750 0.392
Au12 Au 0.889 0.250 0.732
```

Most intense lines, 2θ from 5° to 70°, by intensity:
two_theta	I/Imax
39.83	100
41.10	93
38.08	87
31.04	84
30.53	79
36.28	73